Starting from a PBE+U-relaxed structure, the powder XRD pattern of Li2FeNi2O6 was simulated for a wavelength of 1.5418 Å.

```
Li2FeNi2O6
1.0
4.192 -2.573 0.000
4.192 2.573 0.000
0.000 0.000 10.012
Li Fe Ni O
4 2 4 12
Cartesian
2.096 0.611 2.503 Li
2.096 -0.611 7.509 Li
6.288 0.611 2.503 Li
6.288 -0.611 7.509 Li
0.000 0.000 0.000 Fe
4.192 0.000 5.006 Fe
1.387 0.000 5.006 Ni
2.805 0.000 0.000 Ni
5.579 0.000 0.000 Ni
6.997 0.000 5.006 Ni
1.415 0.717 8.930 O
4.192 1.702 4.052 O
2.777 0.717 6.088 O
1.415 -0.717 1.082 O
4.192 0.871 9.058 O
2.777 -0.717 3.924 O
5.607 0.717 6.088 O
4.192 -0.871 0.955 O
6.968 0.717 8.930 O
5.607 -0.717 3.924 O
4.192 -1.702 5.961 O
6.968 -0.717 1.082 O
```

Main lines, sorted by position (10° ≤ 2θ ≤ 80°):
2θ (°), Rel. int.
17.7, 100
34.9, 11
37.7, 28
39.4, 19
40.9, 6
45.9, 33
50.9, 12
59.6, 18
64.4, 15
77.2, 5